For LiZrNi4, the PBE geometry in Alexandria gives the simulated powder diffraction line list in this record (Cu Kα).
Neutral-atom scattering factors, no anomalous dispersion.

Structure:
```
6
Lattice="0.000 3.393 3.393 3.393 0.000 3.393 3.393 3.393 0.000" Properties=species:S:1:pos:R:3 pbc="T T T"
Li 0.000 0.000 0.000
Zr 1.696 1.696 1.696
Ni 4.246 2.540 2.540
Ni 2.540 4.246 2.540
Ni 2.540 2.540 4.246
Ni 4.246 4.246 4.246
```

Main lines, in order of rising 2θ (10 to 90 degrees two-theta):
d (Å)  two_theta  intensity
3.917  22.7  34
3.393  26.3  20
2.046  44.3  100
1.959  46.4  50
1.306  72.4  29
1.199  80.0  23